Diffraction record for Ti11Zn9Pd4. The PXRD pattern is computed, not measured: it uses the GGA-PBE geometry in Alexandria and Cu Kα (weighted mean of Kα1 and Kα2).

Most intense lines, 5 to 70 degrees two-theta, low angle first:
30.15°, intensity 22
37.97°, intensity 24
39.07°, intensity 100
40.58°, intensity 99
41.73°, intensity 85
42.10°, intensity 28

Crystal structure
```
data_Ti11Zn9Pd4
_chemical_formula_sum 'Ti11 Zn9 Pd4'
_space_group_name_H-M_alt 'P 1'
_space_group_IT_number 1
_space_group_name_Hall 'P 1'
_cell_length_a 11.9091
_cell_length_b 11.9091
_cell_length_c 2.9638
_cell_angle_alpha 90.00
_cell_angle_beta 90.00
_cell_angle_gamma 115.70
loop_
_atom_site_label
_atom_site_fract_x
_atom_site_fract_y
_atom_site_fract_z
_atom_site_occupancy
Ti1 0.0000 0.0000 0.0000 1
Ti2 0.0489 0.4057 0.0000 1
Ti3 0.1753 0.8247 0.0000 1
Ti4 0.2450 0.2450 0.0000 1
Ti5 0.3637 0.6363 0.0000 1
Ti6 0.4057 0.0489 0.0000 1
Ti7 0.5943 0.9511 0.0000 1
Ti8 0.6363 0.3637 0.0000 1
Ti9 0.7550 0.7550 0.0000 1
Ti10 0.8247 0.1753 0.0000 1
Ti11 0.9511 0.5943 0.0000 1
Zn1 0.0326 0.2041 0.5000 1
Zn2 0.1619 0.6237 0.5000 1
Zn3 0.2041 0.0326 0.5000 1
Zn4 0.3763 0.8381 0.5000 1
Zn5 0.5000 0.5000 0.5000 1
Zn6 0.6237 0.1619 0.5000 1
Zn7 0.7959 0.9674 0.5000 1
Zn8 0.8381 0.3763 0.5000 1
Zn9 0.9674 0.7959 0.5000 1
Pd1 0.2451 0.4327 0.5000 1
Pd2 0.4327 0.2451 0.5000 1
Pd3 0.5673 0.7549 0.5000 1
Pd4 0.7549 0.5673 0.5000 1
```

=====

Diffraction record for LaTm2Tl2Ag2. The PXRD pattern is computed, not measured: it uses the GGA-PBE geometry in Alexandria and Cu Kα (weighted mean of Kα1 and Kα2).

Most intense lines, 5 to 70 degrees two-theta, low angle first:
31.65°, intensity 82
34.33°, intensity 31
36.54°, intensity 100
40.13°, intensity 19
49.10°, intensity 24
62.73°, intensity 23

Crystal structure
```
data_LaTm2Tl2Ag2
_chemical_formula_sum 'La1 Tm2 Tl2 Ag2'
_space_group_name_H-M_alt 'P 1'
_space_group_IT_number 1
_space_group_name_Hall 'P 1'
_cell_length_a 9.2638
_cell_length_b 9.2638
_cell_length_c 9.2638
_cell_angle_alpha 30.79
_cell_angle_beta 30.79
_cell_angle_gamma 30.79
loop_
_atom_site_label
_atom_site_fract_x
_atom_site_fract_y
_atom_site_fract_z
_atom_site_occupancy
La1 0.0000 0.0000 0.0000 1
Tm1 0.1341 0.1341 0.1341 1
Tm2 0.8659 0.8659 0.8659 1
Tl1 0.2606 0.2606 0.2606 1
Tl2 0.7394 0.7394 0.7394 1
Ag1 0.4409 0.4409 0.4409 1
Ag2 0.5591 0.5591 0.5591 1
```